This entry pairs a crystal structure of LiAuO2 with its calculated powder diffraction line list. Radiation: Cu Kα. Structure: a PBE-relaxed structure.
Neutral-atom scattering factors, no anomalous dispersion.

Atomic structure:
```
data_LiAuO2
_chemical_formula_sum 'Li4 Au4 O8'
_cell_length_a 10.968
_cell_length_b 4.080
_cell_length_c 5.401
_cell_angle_alpha 90.00
_cell_angle_beta 114.40
_cell_angle_gamma 90.00
_space_group_name_H-M_alt 'C 1 2/c 1'
_space_group_IT_number 15
_space_group_name_Hall '-C 2yc'
loop_
_atom_site_label
_atom_site_fract_x
_atom_site_fract_y
_atom_site_fract_z
Li1 0.000 0.128 0.250
Au1 0.250 0.250 0.000
O1 0.140 0.046 0.632
```

Principal peaks in the range 2θ from 10° to 90°, in order of falling intensity:
2theta, d [Å], I (rel.), hkl
17.76, 4.994, 100, 2 0 0
27.44, 3.251, 68, 1 1 -1
33.68, 2.661, 48, 3 1 -1
32.05, 2.792, 45, 1 1 1
44.58, 2.033, 19, 3 1 1
47.04, 1.932, 17, 5 1 -1
60.81, 1.523, 16, 4 2 -2
33.30, 2.691, 16, 2 0 -2
36.53, 2.460, 16, 0 0 2
48.19, 1.888, 15, 2 2 0


This entry pairs a crystal structure of Nd2Al3Ga with its calculated powder diffraction line list. Radiation: Cu Kα. Structure: a PBE-relaxed structure.
Neutral-atom scattering factors, no anomalous dispersion.

Atomic structure:
```
data_Nd2Al3Ga
_chemical_formula_sum 'Nd6 Al9 Ga3'
_cell_length_a 5.6659
_cell_length_b 5.6659
_cell_length_c 13.9652
_cell_angle_alpha 90.00
_cell_angle_beta 90.00
_cell_angle_gamma 120.00
_space_group_name_H-M_alt 'R -3 m'
_space_group_IT_number 166
_space_group_name_Hall '-R 3 2"'
loop_
_atom_site_label
_atom_site_fract_x
_atom_site_fract_y
_atom_site_fract_z
Nd1 0.0000 0.0000 0.1247
Al1 0.0000 0.5000 0.0000
Ga1 0.0000 0.0000 0.5000
```

Principal peaks in the range 2θ from 10° to 90°, in order of falling intensity:
2theta, d [Å], I (rel.), hkl
37.16, 2.419, 100, 1 1 3
31.58, 2.833, 76, 1 1 0
37.04, 2.427, 41, 0 1 5
31.45, 2.845, 40, 1 0 4
59.90, 1.544, 40, 1 2 5
56.20, 1.637, 30, 3 0 0
19.07, 4.655, 29, 0 0 3
19.17, 4.629, 24, 1 0 1
65.64, 1.422, 16, 2 0 8
65.95, 1.416, 16, 2 2 0


This entry pairs a crystal structure of Nb3Ir2Se10 with its calculated powder diffraction line list. Radiation: Cu Kα. Structure: a PBE-relaxed structure.
Neutral-atom scattering factors, no anomalous dispersion.

Atomic structure:
```
data_Nb3Ir2Se10
_chemical_formula_sum 'Nb3 Ir2 Se10'
_cell_length_a 5.798
_cell_length_b 7.759
_cell_length_c 9.258
_cell_angle_alpha 113.64
_cell_angle_beta 106.91
_cell_angle_gamma 90.19
_space_group_name_H-M_alt 'P -1'
_space_group_IT_number 2
_space_group_name_Hall '-P 1'
loop_
_atom_site_label
_atom_site_fract_x
_atom_site_fract_y
_atom_site_fract_z
Nb1 0.000 0.000 0.000
Nb2 0.164 0.357 0.352
Ir1 0.388 0.793 0.793
Se1 0.035 0.964 0.707
Se2 0.190 0.457 0.683
Se3 0.231 0.341 0.089
Se4 0.397 0.867 0.091
Se5 0.411 0.720 0.507
```

Principal peaks in the range 2θ from 10° to 90°, in order of falling intensity:
2theta, d [Å], I (rel.), hkl
12.77, 6.933, 100, 0 1 -1
33.34, 2.687, 31, 2 -1 0
32.16, 2.783, 31, 1 0 -3
32.01, 2.796, 31, 1 2 0
40.29, 2.239, 15, 2 -2 1
39.36, 2.289, 14, 1 1 -4
39.52, 2.280, 14, 1 3 -1
49.79, 1.831, 11, 1 -4 1
48.72, 1.869, 11, 1 -2 4
50.87, 1.795, 10, 2 3 -4


This entry pairs a crystal structure of ReTe2Cl12 with its calculated powder diffraction line list. Radiation: Cu Kα. Structure: a PBE-relaxed structure.
Neutral-atom scattering factors, no anomalous dispersion.

Atomic structure:
```
data_ReTe2Cl12
_chemical_formula_sum 'Re1 Te2 Cl12'
_cell_length_a 6.768
_cell_length_b 7.232
_cell_length_c 11.306
_cell_angle_alpha 71.92
_cell_angle_beta 88.42
_cell_angle_gamma 63.13
_space_group_name_H-M_alt 'P -1'
_space_group_IT_number 2
_space_group_name_Hall '-P 1'
loop_
_atom_site_label
_atom_site_fract_x
_atom_site_fract_y
_atom_site_fract_z
Re1 0.000 0.000 0.000
Te1 0.260 0.498 0.758
Cl1 0.011 0.234 0.802
Cl2 0.028 0.276 0.413
Cl3 0.055 0.218 0.102
Cl4 0.394 0.784 0.020
Cl5 0.430 0.728 0.703
Cl6 0.482 0.264 0.649
```

Principal peaks in the range 2θ from 10° to 90°, in order of falling intensity:
2theta, d [Å], I (rel.), hkl
18.11, 4.899, 100, 0 1 2
17.94, 4.944, 98, 1 0 1
18.67, 4.752, 96, 1 1 -1
24.37, 3.652, 37, -1 1 1
15.17, 5.840, 36, 1 1 0
24.73, 3.601, 35, 1 2 1
25.65, 3.473, 33, 0 1 -2
14.15, 6.257, 33, 0 1 1
26.32, 3.387, 27, 2 1 0
39.63, 2.274, 23, 1 3 3


This entry pairs a crystal structure of CsN with its calculated powder diffraction line list. Radiation: Cu Kα. Structure: a PBE-relaxed structure.
Neutral-atom scattering factors, no anomalous dispersion.

Atomic structure:
```
data_CsN
_chemical_formula_sum 'Cs1 N1'
_cell_length_a 3.864
_cell_length_b 3.864
_cell_length_c 3.864
_cell_angle_alpha 90.00
_cell_angle_beta 90.00
_cell_angle_gamma 90.00
_space_group_name_H-M_alt 'P m -3 m'
_space_group_IT_number 221
_space_group_name_Hall '-P 4 2 3'
loop_
_atom_site_label
_atom_site_fract_x
_atom_site_fract_y
_atom_site_fract_z
Cs1 0.000 0.000 0.000
N1 0.500 0.500 0.500
```

Principal peaks in the range 2θ from 10° to 90°, in order of falling intensity:
2theta, d [Å], I (rel.), hkl
32.77, 2.733, 100, 1 1 0
23.01, 3.864, 79, 1 0 0
58.50, 1.578, 36, 2 1 1
52.98, 1.728, 34, 2 1 0
40.43, 2.231, 24, 1 1 1
47.03, 1.932, 17, 2 0 0
73.52, 1.288, 17, 3 0 0
78.23, 1.222, 15, 3 1 0
68.70, 1.366, 11, 2 2 0
82.85, 1.165, 10, 3 1 1


This entry pairs a crystal structure of PuReB4 with its calculated powder diffraction line list. Radiation: Cu Kα. Structure: a PBE-relaxed structure.
Neutral-atom scattering factors, no anomalous dispersion.

Atomic structure:
```
data_PuReB4
_chemical_formula_sum 'Pu4 Re4 B16'
_cell_length_a 5.992
_cell_length_b 11.623
_cell_length_c 3.595
_cell_angle_alpha 90.00
_cell_angle_beta 90.00
_cell_angle_gamma 90.00
_space_group_name_H-M_alt 'P b a m'
_space_group_IT_number 55
_space_group_name_Hall '-P 2 2ab'
loop_
_atom_site_label
_atom_site_fract_x
_atom_site_fract_y
_atom_site_fract_z
Pu1 0.126 0.150 0.000
Re1 0.135 0.409 0.000
B1 0.027 0.692 0.500
B2 0.115 0.547 0.500
B3 0.135 0.968 0.500
B4 0.213 0.813 0.500
```

Principal peaks in the range 2θ from 10° to 90°, in order of falling intensity:
2theta, d [Å], I (rel.), hkl
39.92, 2.258, 100, 0 4 1
24.77, 3.595, 89, 0 0 1
30.80, 2.903, 87, 0 4 0
45.86, 1.979, 33, 2 3 1
60.59, 1.528, 27, 0 4 2
42.77, 2.114, 26, 1 4 1
37.96, 2.370, 25, 2 3 0
34.30, 2.615, 21, 1 4 0
37.28, 2.412, 18, 1 3 1
50.80, 1.797, 18, 0 0 2


This entry pairs a crystal structure of Rb2YCl5 with its calculated powder diffraction line list. Radiation: Cu Kα. Structure: a PBE-relaxed structure.
Neutral-atom scattering factors, no anomalous dispersion.

Atomic structure:
```
data_Rb2YCl5
_chemical_formula_sum 'Rb8 Y4 Cl20'
_cell_length_a 9.611
_cell_length_b 7.475
_cell_length_c 14.883
_cell_angle_alpha 90.00
_cell_angle_beta 90.00
_cell_angle_gamma 90.00
_space_group_name_H-M_alt 'P n m a'
_space_group_IT_number 62
_space_group_name_Hall '-P 2ac 2n'
loop_
_atom_site_label
_atom_site_fract_x
_atom_site_fract_y
_atom_site_fract_z
Rb1 0.022 0.250 0.212
Rb2 0.163 0.750 0.417
Y1 0.182 0.750 0.066
Cl1 0.000 0.000 0.000
Cl2 0.021 0.750 0.207
Cl3 0.162 0.510 0.618
Cl4 0.214 0.250 0.400
```

Principal peaks in the range 2θ from 10° to 90°, in order of falling intensity:
2theta, d [Å], I (rel.), hkl
22.01, 4.039, 100, 2 0 2
32.66, 2.742, 98, 2 2 2
21.50, 4.134, 91, 0 1 3
31.43, 2.846, 90, 1 0 5
35.42, 2.534, 74, 2 2 3
30.91, 2.893, 64, 2 2 1
23.81, 3.737, 62, 0 2 0
48.65, 1.872, 49, 4 2 3
30.38, 2.942, 45, 2 0 4
25.07, 3.552, 37, 2 1 2


This entry pairs a crystal structure of LiCr2S4 with its calculated powder diffraction line list. Radiation: Cu Kα. Structure: a PBE-relaxed structure.
Neutral-atom scattering factors, no anomalous dispersion.

Atomic structure:
```
data_LiCr2S4
_chemical_formula_sum 'Li4 Cr8 S16'
_cell_length_a 5.408
_cell_length_b 8.150
_cell_length_c 12.931
_cell_angle_alpha 90.00
_cell_angle_beta 90.00
_cell_angle_gamma 90.00
_space_group_name_H-M_alt 'P n m a'
_space_group_IT_number 62
_space_group_name_Hall '-P 2ac 2n'
loop_
_atom_site_label
_atom_site_fract_x
_atom_site_fract_y
_atom_site_fract_z
Li1 0.231 0.250 0.103
Cr1 0.022 0.750 0.232
Cr2 0.134 0.250 0.576
S1 0.220 0.045 0.678
S2 0.239 0.250 0.907
S3 0.240 0.250 0.421
```

Principal peaks in the range 2θ from 10° to 90°, in order of falling intensity:
2theta, d [Å], I (rel.), hkl
12.84, 6.895, 100, 0 1 1
21.81, 4.075, 24, 0 2 0
47.74, 1.905, 15, 0 2 6
42.49, 2.128, 14, 2 2 2
20.88, 4.255, 13, 1 1 1
30.76, 2.907, 10, 1 2 2
44.46, 2.038, 9, 0 4 0
32.26, 2.775, 7, 1 0 4
47.99, 1.896, 5, 2 3 1
57.71, 1.597, 5, 3 2 2